# 1
Starting from a DFT-relaxed cell (GGA-PBE, Alexandria), the XRD peak list of Sr6Cd5In was computed for Cu Kα X-rays.
No peak broadening, texture or thermal motion is included.

Peak list (8 most intense, 10° ≤ 2θ ≤ 90°, by intensity)
2.888 Å, I 100
2.847 Å, I 48
1.652 Å, I 27
1.675 Å, I 19
2.013 Å, I 17
1.444 Å, I 12
1.096 Å, I 10
2.072 Å, I 10

Crystal structure
a = 5.700 Å, b = 8.287 Å, c = 8.994 Å
α = 90.00°, β = 108.44°, γ = 90.00°
Sites, in units of the cell vectors:
Sr 0.000 0.248 0.000
Sr 0.000 0.752 0.000
Sr 0.334 0.249 0.667
Sr 0.334 0.751 0.667
Sr 0.666 0.249 0.333
Sr 0.666 0.751 0.333
Cd 0.162 0.500 0.328
Cd 0.165 0.000 0.334
Cd 0.500 0.000 0.000
Cd 0.835 0.000 0.666
Cd 0.838 0.500 0.672
In 0.500 0.500 0.000

***

# 2
Starting from a DFT-relaxed cell (GGA-PBE, Alexandria), the XRD peak list of Zn13Pt2 was computed for Cu Kα X-rays.
No peak broadening, texture or thermal motion is included.

Peak list (8 most intense, 10° ≤ 2θ ≤ 90°, by intensity)
2.131 Å, I 100
2.174 Å, I 54
2.227 Å, I 27
2.082 Å, I 21
2.050 Å, I 17
2.443 Å, I 17
2.259 Å, I 15
4.299 Å, I 13

Crystal structure
a = 5.080 Å, b = 6.796 Å, c = 7.183 Å
α = 98.56°, β = 107.67°, γ = 97.36°
Sites, in units of the cell vectors:
Zn 0.000 0.000 0.000
Zn 0.046 0.561 0.848
Zn 0.047 0.183 0.641
Zn 0.277 0.547 0.544
Zn 0.321 0.905 0.780
Zn 0.385 0.337 0.040
Zn 0.397 0.780 0.275
Zn 0.603 0.220 0.725
Zn 0.615 0.663 0.960
Zn 0.679 0.095 0.220
Zn 0.723 0.453 0.456
Zn 0.953 0.817 0.359
Zn 0.954 0.439 0.152
Pt 0.253 0.185 0.346
Pt 0.747 0.815 0.654

***

# 3
Starting from a DFT-relaxed cell (GGA-PBE, Alexandria), the XRD peak list of BaBr2O11 was computed for Cu Kα X-rays.
No peak broadening, texture or thermal motion is included.

Peak list (8 most intense, 10° ≤ 2θ ≤ 90°, by intensity)
3.500 Å, I 100
6.429 Å, I 69
3.074 Å, I 60
2.367 Å, I 28
2.021 Å, I 21
2.840 Å, I 19
1.928 Å, I 18
1.750 Å, I 17

Crystal structure
a = 7.000 Å, b = 7.000 Å, c = 12.859 Å
α = 90.00°, β = 90.00°, γ = 120.00°
Sites, in units of the cell vectors:
Ba 0.000 0.000 0.000
Ba 0.000 0.000 0.500
Br 0.333 0.667 0.049
Br 0.333 0.667 0.451
Br 0.667 0.333 0.549
Br 0.667 0.333 0.951
O 0.069 0.930 0.750
O 0.070 0.139 0.750
O 0.139 0.069 0.250
O 0.203 0.791 0.095
O 0.203 0.791 0.405
O 0.209 0.412 0.095
O 0.209 0.412 0.405
O 0.333 0.667 0.578
O 0.333 0.667 0.922
O 0.412 0.203 0.595
O 0.412 0.203 0.905
O 0.588 0.797 0.095
O 0.588 0.797 0.405
O 0.667 0.333 0.078
O 0.667 0.333 0.422
O 0.791 0.588 0.595
O 0.791 0.588 0.905
O 0.797 0.209 0.595
O 0.797 0.209 0.905
O 0.861 0.931 0.750
O 0.930 0.861 0.250
O 0.931 0.070 0.250

***

# 4
Starting from a DFT-relaxed cell (GGA-PBE, Alexandria), the XRD peak list of Li5Au4 was computed for Cu Kα X-rays.
No peak broadening, texture or thermal motion is included.

Peak list (8 most intense, 10° ≤ 2θ ≤ 90°, by intensity)
3.471 Å, I 100
2.321 Å, I 75
2.280 Å, I 70
3.916 Å, I 64
3.304 Å, I 48
2.308 Å, I 34
1.981 Å, I 29
2.053 Å, I 25

Crystal structure
a = 5.001 Å, b = 5.001 Å, c = 8.375 Å
α = 108.96°, β = 108.96°, γ = 46.70°
Sites, in units of the cell vectors:
Li 0.000 0.000 0.000
Li 0.334 0.334 0.443
Li 0.345 0.345 0.121
Li 0.655 0.655 0.879
Li 0.666 0.666 0.557
Au 0.006 0.006 0.332
Au 0.327 0.327 0.790
Au 0.673 0.673 0.210
Au 0.994 0.994 0.668

***

# 5
Starting from a DFT-relaxed cell (GGA-PBE, Alexandria), the XRD peak list of TlSnHAu2 was computed for Cu Kα X-rays.
No peak broadening, texture or thermal motion is included.

Peak list (8 most intense, 10° ≤ 2θ ≤ 90°, by intensity)
2.703 Å, I 100
1.560 Å, I 39
3.117 Å, I 31
1.912 Å, I 20
2.043 Å, I 19
3.815 Å, I 14
1.209 Å, I 13
1.350 Å, I 13

Crystal structure
a = 5.409 Å, b = 5.409 Å, c = 3.814 Å
α = 90.00°, β = 90.00°, γ = 90.00°
Sites, in units of the cell vectors:
Tl 0.000 0.000 0.000
Sn 0.500 0.500 0.500
H 0.500 0.500 0.000
Au 0.000 0.500 0.500
Au 0.500 0.000 0.500

***

# 6
Starting from a DFT-relaxed cell (GGA-PBE, Alexandria), the XRD peak list of Pu2NpAl9 was computed for Cu Kα X-rays.
No peak broadening, texture or thermal motion is included.

Peak list (8 most intense, 10° ≤ 2θ ≤ 90°, by intensity)
4.682 Å, I 100
2.961 Å, I 90
2.332 Å, I 85
2.746 Å, I 82
2.718 Å, I 48
2.369 Å, I 39
1.624 Å, I 32
4.415 Å, I 31

Crystal structure
a = 9.382 Å, b = 9.382 Å, c = 9.382 Å
α = 34.04°, β = 34.04°, γ = 34.04°
Sites, in units of the cell vectors:
Pu 0.143 0.143 0.143
Pu 0.857 0.857 0.857
Np 0.000 0.000 0.000
Al 0.077 0.586 0.586
Al 0.334 0.334 0.334
Al 0.414 0.414 0.923
Al 0.414 0.923 0.414
Al 0.500 0.500 0.500
Al 0.586 0.077 0.586
Al 0.586 0.586 0.077
Al 0.666 0.666 0.666
Al 0.923 0.414 0.414